Diffraction record for RbZn2O2. The PXRD pattern is calculated, not measured: it uses the PBE geometry in Alexandria and a wavelength of 1.5418 Å.

Peak list (10 most intense, 10 to 90 degrees two-theta, sorted by position)
| 2θ/deg | I/Imax | index |
| --- | --- | --- |
| 32.4 | 100 | 2 0 2 |
| 33.2 | 12 | 2 2 0 |
| 34.5 | 29 | 0 0 4 |
| 40.8 | 36 | 1 3 3 |
| 50.3 | 11 | 1 5 1 |
| 51.6 | 12 | 3 3 1 |
| 54.4 | 9 | 1 3 5 |
| 56.4 | 10 | 4 0 0 |
| 57.7 | 12 | 3 3 3 |
| 60.4 | 12 | 2 0 6 |

Cell and atoms:
```
data_RbZn2O2
_symmetry_space_group_name_H-M 'F d d d'
_symmetry_Int_Tables_number 70
_cell_length_a 6.5259
_cell_length_b 9.5938
_cell_length_c 10.4091
_cell_angle_alpha 90.00
_cell_angle_beta 90.00
_cell_angle_gamma 90.00
loop_
_symmetry_equiv_pos_as_xyz
'x,y,z'
'-x,-y,-z'
'-x+1/4,-y+1/4,z'
'x+1/4,y+1/4,-z'
'x,-y+1/4,-z+1/4'
'-x,y+1/4,z+1/4'
'-x+1/4,y,-z+1/4'
'x+1/4,-y,z+1/4'
'x,y+1/2,z+1/2'
'-x,-y+1/2,-z+1/2'
'-x+1/4,-y+3/4,z+1/2'
'x+1/4,y+3/4,-z+1/2'
'x,-y+3/4,-z+3/4'
'-x,y+3/4,z+3/4'
'-x+1/4,y+1/2,-z+3/4'
'x+1/4,-y+1/2,z+3/4'
'x+1/2,y,z+1/2'
'-x+1/2,-y,-z+1/2'
'-x+3/4,-y+1/4,z+1/2'
'x+3/4,y+1/4,-z+1/2'
'x+1/2,-y+1/4,-z+3/4'
'-x+1/2,y+1/4,z+3/4'
'-x+3/4,y,-z+3/4'
'x+3/4,-y,z+3/4'
'x+1/2,y+1/2,z'
'-x+1/2,-y+1/2,-z'
'-x+3/4,-y+3/4,z'
'x+3/4,y+3/4,-z'
'x+1/2,-y+3/4,-z+1/4'
'-x+1/2,y+3/4,z+1/4'
'-x+3/4,y+1/2,-z+1/4'
'x+3/4,-y+1/2,z+1/4'
loop_
_atom_site_label
_atom_site_type_symbol
_atom_site_fract_x
_atom_site_fract_y
_atom_site_fract_z
Rb1 Rb 0.1250 0.1250 0.1250
Zn1 Zn 0.1250 0.2602 0.6250
O1 O 0.1250 0.1250 0.4349
```

***

Diffraction record for RbZnO. The PXRD pattern is calculated, not measured: it uses the PBE geometry in Alexandria and a wavelength of 1.5418 Å.

Peak list (10 most intense, 10 to 90 degrees two-theta, sorted by position)
| 2θ/deg | I/Imax | index |
| --- | --- | --- |
| 14.0 | 72 | 1 0 1 |
| 27.2 | 100 | 3 0 1 |
| 28.3 | 45 | 2 0 2 |
| 29.3 | 89 | 1 1 1 |
| 32.7 | 89 | 2 1 1 |
| 33.0 | 34 | 4 0 0 |
| 35.7 | 85 | 1 1 2 |
| 37.7 | 40 | 3 1 1 |
| 46.9 | 48 | 2 1 3 |
| 55.2 | 69 | 5 1 2 |

Cell and atoms:
```
data_RbZnO
_symmetry_space_group_name_H-M 'P n m a'
_symmetry_Int_Tables_number 62
_cell_length_a 10.8706
_cell_length_b 3.4748
_cell_length_c 7.7394
_cell_angle_alpha 90.00
_cell_angle_beta 90.00
_cell_angle_gamma 90.00
loop_
_symmetry_equiv_pos_as_xyz
'x,y,z'
'-x,-y,-z'
'-x+1/2,-y,z+1/2'
'x+1/2,y,-z+1/2'
'x+1/2,-y+1/2,-z+1/2'
'-x+1/2,y+1/2,z+1/2'
'-x,y+1/2,-z'
'x,-y+1/2,z'
loop_
_atom_site_label
_atom_site_type_symbol
_atom_site_fract_x
_atom_site_fract_y
_atom_site_fract_z
Rb1 Rb 0.2091 0.2500 0.0602
Zn1 Zn 0.0060 0.7500 0.3572
O1 O 0.1004 0.2500 0.4201
```

***

Diffraction record for RbZn2O2. The PXRD pattern is calculated, not measured: it uses the PBE geometry in Alexandria and a wavelength of 1.5418 Å.

Peak list (10 most intense, 10 to 90 degrees two-theta, sorted by position)
| 2θ/deg | I/Imax | index |
| --- | --- | --- |
| 16.4 | 14 | 0 0 2 |
| 31.3 | 53 | 1 1 0 |
| 33.0 | 15 | 0 0 4 |
| 33.3 | 100 | 1 0 3 |
| 44.9 | 34 | 2 0 0 |
| 56.9 | 11 | 2 0 4 |
| 57.0 | 41 | 2 1 3 |
| 60.7 | 11 | 1 1 6 |
| 64.4 | 13 | 1 0 7 |
| 82.0 | 13 | 2 1 7 |

Cell and atoms:
```
data_RbZn2O2
_symmetry_space_group_name_H-M 'I 4/m m m'
_symmetry_Int_Tables_number 139
_symmetry_space_group_name_Hall '-I 4 2'
_cell_length_a 4.0366
_cell_length_b 4.0366
_cell_length_c 10.8417
_cell_angle_alpha 90.00
_cell_angle_beta 90.00
_cell_angle_gamma 90.00
loop_
_atom_site_label
_atom_site_type_symbol
_atom_site_fract_x
_atom_site_fract_y
_atom_site_fract_z
Rb1 Rb 0.0000 0.0000 0.0000
Zn1 Zn 0.0000 0.0000 0.3018
O1 O 0.0000 0.5000 0.2500
```

***

Diffraction record for Rb5ZrO5. The PXRD pattern is calculated, not measured: it uses the PBE geometry in Alexandria and a wavelength of 1.5418 Å.

Peak list (10 most intense, 10 to 90 degrees two-theta, sorted by position)
| 2θ/deg | I/Imax | index |
| --- | --- | --- |
| 27.8 | 100 | 3 1 0 |
| 28.9 | 85 | 1 1 -2 |
| 31.8 | 47 | 4 0 -2 |
| 32.3 | 57 | 2 0 2 |
| 34.3 | 52 | 0 2 0 |
| 47.4 | 42 | 4 2 -2 |
| 47.8 | 34 | 2 2 2 |
| 54.3 | 18 | 5 1 2 |
| 56.2 | 16 | 1 1 4 |
| 57.4 | 17 | 6 2 0 |

Cell and atoms:
```
data_Rb5ZrO5
_symmetry_space_group_name_H-M 'C 1 2/m 1'
_symmetry_Int_Tables_number 12
_cell_length_a 12.8530
_cell_length_b 5.2305
_cell_length_c 7.6741
_cell_angle_alpha 90.00
_cell_angle_beta 108.25
_cell_angle_gamma 90.00
loop_
_symmetry_equiv_pos_as_xyz
'x,y,z'
'-x,-y,-z'
'-x,y,-z'
'x,-y,z'
'x+1/2,y+1/2,z'
'-x+1/2,-y+1/2,-z'
'-x+1/2,y+1/2,-z'
'x+1/2,-y+1/2,z'
loop_
_atom_site_label
_atom_site_type_symbol
_atom_site_fract_x
_atom_site_fract_y
_atom_site_fract_z
Rb1 Rb 0.0000 0.0000 0.0000
Rb2 Rb 0.1750 0.5000 0.3451
Rb3 Rb 0.1846 0.5000 0.8067
Zr1 Zr 0.0000 0.0000 0.5000
O1 O 0.0000 0.5000 0.5000
O2 O 0.1208 0.0000 0.3696
O3 O 0.1219 0.0000 0.7591
```

***

Diffraction record for Rb2ZrO3. The PXRD pattern is calculated, not measured: it uses the PBE geometry in Alexandria and a wavelength of 1.5418 Å.

Peak list (10 most intense, 10 to 90 degrees two-theta, sorted by position)
| 2θ/deg | I/Imax | index |
| --- | --- | --- |
| 25.7 | 24 | 0 0 4 |
| 26.2 | 18 | 1 3 1 |
| 27.6 | 61 | 2 0 0 |
| 28.5 | 100 | 1 3 2 |
| 30.1 | 35 | 1 1 4 |
| 31.4 | 14 | 0 4 2 |
| 35.4 | 15 | 0 2 5 |
| 38.0 | 24 | 2 0 4 |
| 49.4 | 22 | 3 3 2 |
| 57.1 | 14 | 2 4 6 |

Cell and atoms:
```
data_Rb2ZrO3
_symmetry_space_group_name_H-M 'C m c e'
_symmetry_Int_Tables_number 64
_symmetry_space_group_name_Hall '-C 2ac 2'
_cell_length_a 6.4665
_cell_length_b 12.4983
_cell_length_c 13.8875
_cell_angle_alpha 90.00
_cell_angle_beta 90.00
_cell_angle_gamma 90.00
loop_
_atom_site_label
_atom_site_type_symbol
_atom_site_fract_x
_atom_site_fract_y
_atom_site_fract_z
Rb1 Rb 0.0000 0.0571 0.1293
Rb2 Rb 0.0000 0.1249 0.5768
Zr1 Zr 0.0000 0.2457 0.3348
O1 O 0.0000 0.0954 0.3712
O2 O 0.0000 0.1600 0.9463
O3 O 0.2500 0.2218 0.7500
```

***

Diffraction record for Rb8ZrO6. The PXRD pattern is calculated, not measured: it uses the PBE geometry in Alexandria and a wavelength of 1.5418 Å.

Peak list (10 most intense, 10 to 90 degrees two-theta, sorted by position)
| 2θ/deg | I/Imax | index |
| --- | --- | --- |
| 25.3 | 40 | 1 2 0 |
| 25.9 | 36 | 2 1 1 |
| 26.4 | 100 | 2 0 2 |
| 26.9 | 66 | 0 2 2 |
| 28.8 | 74 | 0 0 4 |
| 29.2 | 40 | 1 2 2 |
| 31.0 | 29 | 0 1 4 |
| 35.1 | 55 | 2 2 2 |
| 36.6 | 45 | 2 0 4 |
| 38.7 | 31 | 1 2 4 |

Cell and atoms:
```
data_Rb8ZrO6
_symmetry_space_group_name_H-M 'P m n 21'
_symmetry_Int_Tables_number 31
_cell_length_a 8.0458
_cell_length_b 7.8297
_cell_length_c 12.4014
_cell_angle_alpha 90.00
_cell_angle_beta 90.00
_cell_angle_gamma 90.00
loop_
_symmetry_equiv_pos_as_xyz
'x,y,z'
'-x+1/2,-y,z+1/2'
'-x,y,z'
'x+1/2,-y,z+1/2'
loop_
_atom_site_label
_atom_site_type_symbol
_atom_site_fract_x
_atom_site_fract_y
_atom_site_fract_z
Rb1 Rb 0.0000 0.0973 0.0740
Rb2 Rb 0.0000 0.1490 0.5912
Rb3 Rb 0.2038 0.5507 0.7758
Rb4 Rb 0.2131 0.6402 0.5000
Rb5 Rb 0.2221 0.9897 0.8138
Zr1 Zr 0.0000 0.6760 0.0915
O1 O 0.0000 0.2462 0.8601
O2 O 0.0000 0.4319 0.1415
O3 O 0.0000 0.7856 0.6571
O4 O 0.0000 0.8287 0.2215
O5 O 0.2047 0.7173 0.0017
```

***

Diffraction record for Re2O7. The PXRD pattern is calculated, not measured: it uses the PBE geometry in Alexandria and a wavelength of 1.5418 Å.

Peak list (10 most intense, 10 to 90 degrees two-theta, sorted by position)
| 2θ/deg | I/Imax | index |
| --- | --- | --- |
| 19.7 | 100 | 1 1 1 |
| 22.1 | 29 | 0 2 0 |
| 23.1 | 27 | 4 0 0 |
| 25.7 | 20 | 3 1 1 |
| 32.2 | 12 | 4 2 0 |
| 34.8 | 30 | 5 1 1 |
| 37.4 | 17 | 1 3 1 |
| 38.2 | 13 | 0 2 2 |
| 45.1 | 22 | 0 4 0 |
| 57.3 | 17 | 9 1 1 |

Cell and atoms:
```
data_Re2O7
_symmetry_space_group_name_H-M 'C m c 21'
_symmetry_Int_Tables_number 36
_cell_length_a 15.3790
_cell_length_b 8.0338
_cell_length_c 5.8192
_cell_angle_alpha 90.00
_cell_angle_beta 90.00
_cell_angle_gamma 90.00
loop_
_symmetry_equiv_pos_as_xyz
'x,y,z'
'-x,-y,z+1/2'
'-x,y,z'
'x,-y,z+1/2'
'x+1/2,y+1/2,z'
'-x+1/2,-y+1/2,z+1/2'
'-x+1/2,y+1/2,z'
'x+1/2,-y+1/2,z+1/2'
loop_
_atom_site_label
_atom_site_type_symbol
_atom_site_fract_x
_atom_site_fract_y
_atom_site_fract_z
Re1 Re 0.1106 0.2456 0.0000
O1 O 0.0000 0.2520 0.8516
O2 O 0.1138 0.4080 0.1938
O3 O 0.1172 0.0631 0.1556
O4 O 0.1971 0.2604 0.8138
```

***

Diffraction record for ReRuO6. The PXRD pattern is calculated, not measured: it uses the PBE geometry in Alexandria and a wavelength of 1.5418 Å.

Peak list (10 most intense, 10 to 90 degrees two-theta, sorted by position)
| 2θ/deg | I/Imax | index |
| --- | --- | --- |
| 18.3 | 100 | 0 2 0 |
| 25.4 | 81 | 1 1 -1 |
| 31.5 | 39 | 1 1 1 |
| 36.7 | 14 | 1 3 -1 |
| 41.3 | 33 | 1 3 1 |
| 43.1 | 29 | 2 2 0 |
| 52.1 | 12 | 2 2 -2 |
| 54.7 | 21 | 2 4 0 |
| 58.8 | 13 | 3 1 -1 |
| 65.4 | 16 | 3 3 -1 |

Cell and atoms:
```
data_ReRuO6
_symmetry_space_group_name_H-M 'C 1 2/m 1'
_symmetry_Int_Tables_number 12
_cell_length_a 4.7985
_cell_length_b 9.6723
_cell_length_c 4.7977
_cell_angle_alpha 90.00
_cell_angle_beta 103.54
_cell_angle_gamma 90.00
loop_
_symmetry_equiv_pos_as_xyz
'x,y,z'
'-x,-y,-z'
'-x,y,-z'
'x,-y,z'
'x+1/2,y+1/2,z'
'-x+1/2,-y+1/2,-z'
'-x+1/2,y+1/2,-z'
'x+1/2,-y+1/2,z'
loop_
_atom_site_label
_atom_site_type_symbol
_atom_site_fract_x
_atom_site_fract_y
_atom_site_fract_z
Re1 Re 0.0000 0.0000 0.0000
Ru1 Ru 0.0000 0.5000 0.5000
O1 O 0.2408 0.1295 0.2406
O2 O 0.2494 0.5000 0.2509
```

***

Diffraction record for Re2S2O13. The PXRD pattern is calculated, not measured: it uses the PBE geometry in Alexandria and a wavelength of 1.5418 Å.

Peak list (10 most intense, 10 to 90 degrees two-theta, sorted by position)
| 2θ/deg | I/Imax | index |
| --- | --- | --- |
| 13.6 | 45 | 1 1 0 |
| 13.9 | 100 | 0 0 1 |
| 19.5 | 20 | 1 1 1 |
| 20.5 | 20 | 2 0 0 |
| 20.8 | 38 | 1 2 0 |
| 25.1 | 87 | 1 2 1 |
| 26.5 | 40 | 2 1 1 |
| 35.2 | 28 | 1 2 2 |
| 35.4 | 16 | 3 1 1 |
| 45.0 | 15 | 2 3 2 |

Cell and atoms:
```
data_Re2S2O13
_symmetry_space_group_name_H-M 'P b a 2'
_symmetry_Int_Tables_number 32
_cell_length_a 8.6596
_cell_length_b 9.8095
_cell_length_c 6.3594
_cell_angle_alpha 90.00
_cell_angle_beta 90.00
_cell_angle_gamma 90.00
loop_
_symmetry_equiv_pos_as_xyz
'x,y,z'
'-x,-y,z'
'-x+1/2,y+1/2,z'
'x+1/2,-y+1/2,z'
loop_
_atom_site_label
_atom_site_type_symbol
_atom_site_fract_x
_atom_site_fract_y
_atom_site_fract_z
Re1 Re 0.1734 0.1098 0.0000
S1 S 0.1393 0.8249 0.3117
O1 O 0.0000 0.0000 0.9309
O2 O 0.0296 0.1535 0.2840
O3 O 0.1064 0.2580 0.8919
O4 O 0.1696 0.6909 0.1779
O5 O 0.1840 0.8025 0.5240
O6 O 0.2031 0.5486 0.8129
O7 O 0.2286 0.9341 0.2022
```